Starting from a DFT-relaxed cell (PBE+U, Alexandria), the powder X-ray diffraction pattern of FeAgB2O was simulated for Cu Kα.
Intensities are scaled so that the largest is 100.

Cell and atoms:
```
data_FeAgB2O
_chemical_formula_sum 'Fe1 Ag1 B2 O1'
_symmetry_space_group_name_H-M 'P 4/m m m'
_symmetry_Int_Tables_number 123
_symmetry_space_group_name_Hall '-P 4 2'
_cell_length_a 4.0392
_cell_length_b 4.0392
_cell_length_c 3.7434
_cell_angle_alpha 90.00
_cell_angle_beta 90.00
_cell_angle_gamma 90.00
loop_
_atom_site_label
_atom_site_type_symbol
_atom_site_fract_x
_atom_site_fract_y
_atom_site_fract_z
Fe1 Fe 0.0000 0.0000 0.0000
Ag1 Ag 0.5000 0.5000 0.5000
B1 B 0.0000 0.5000 0.0000
O1 O 0.0000 0.0000 0.5000
```

Most intense lines, 5° ≤ 2θ ≤ 70°, low angle first:
2theta  I (rel.)  (hkl)
31.32  68.9  1 1 0
32.61  100.0  1 0 1
39.69  17.3  1 1 1
44.88  33.7  2 0 0
48.65  13.0  0 0 2
56.57  39.5  2 1 1
59.00  20.5  1 1 2
68.33  17.1  2 0 2